Starting from a crystal structure in Alexandria, relaxed with PBE, the PXRD pattern of CePm2YP4 was computed for Cu Kα (weighted mean of Kα1 and Kα2).

Crystal structure
abc: 7.0702 4.0898 7.0849
angles: 90.00 109.39 90.00
Space group P2/m (No. 10)
Symmetry-distinct sites (fractional):
Ce1 0.0000 0.0000 0.0000 [1 per cell]
Pm1 0.0000 0.5000 0.5000 [1 per cell]
Pm2 0.5000 0.0000 0.5000 [1 per cell]
Y1 0.5000 0.5000 0.0000 [1 per cell]
P1 0.2483 0.5000 0.2436 [2 per cell]
P2 0.2519 0.0000 0.7573 [2 per cell]

Largest 6 diffraction maxima, by intensity, 2θ from 5° to 70°:
d/Å  intensity
2.891  100
3.338  73
2.044  73
1.743  33
1.670  19
1.446  8